[1]
Structure and theoretical PXRD pattern of Ni9W4 (DFT lattice parameters and positions (GGA-PBE); copper Kα).
Neutral-atom scattering factors, no anomalous dispersion.

Atomic structure:
```
Ni9W4
1.0
2.331 1.346 8.407
-2.331 1.346 8.407
0.000 -2.691 8.407
Ni W
9 4
Direct
0.000 0.000 0.000
0.090 0.090 0.586
0.090 0.586 0.090
0.414 0.910 0.910
0.453 0.453 0.453
0.547 0.547 0.547
0.586 0.090 0.090
0.910 0.414 0.910
0.910 0.910 0.414
0.167 0.167 0.167
0.354 0.354 0.354
0.646 0.646 0.646
0.833 0.833 0.833
```

Peak list (6 most intense, 5° ≤ 2θ ≤ 70°, low angle first)
- 3.400 Å, I 27
- 2.331 Å, I 75
- 2.139 Å, I 45
- 2.038 Å, I 100
- 1.994 Å, I 47
- 1.922 Å, I 26

[2]
Structure and theoretical PXRD pattern of SmNi2IrPt2 (DFT lattice parameters and positions (GGA-PBE); copper Kα).
Neutral-atom scattering factors, no anomalous dispersion.

Atomic structure:
```
SmNi2IrPt2
1.0
2.662 -4.575 0.000
2.662 4.575 0.000
0.000 0.000 4.086
Sm Ni Ir Pt
1 2 1 2
Direct
0.000 0.000 0.000
0.341 0.659 0.000
0.659 0.341 0.000
0.500 0.500 0.500
0.000 0.500 0.500
0.500 0.000 0.500
```

Peak list (6 most intense, 5° ≤ 2θ ≤ 70°, low angle first)
- 3.052 Å, I 100
- 2.301 Å, I 91
- 2.221 Å, I 80
- 2.043 Å, I 52
- 2.005 Å, I 62
- 1.528 Å, I 52

[3]
Structure and theoretical PXRD pattern of TbErAl3Ge2 (DFT lattice parameters and positions (GGA-PBE); copper Kα).
Neutral-atom scattering factors, no anomalous dispersion.

Atomic structure:
```
TbErAl3Ge2
1.0
5.133 -2.035 0.000
5.133 2.035 0.000
-1.172 0.000 6.644
Tb Er Al Ge
1 1 3 2
Direct
0.000 0.000 0.000
0.767 0.767 0.367
0.081 0.081 0.558
0.383 0.383 0.682
0.686 0.686 0.806
0.284 0.284 0.043
0.483 0.483 0.326
```

Peak list (6 most intense, 5° ≤ 2θ ≤ 70°, low angle first)
- 6.644 Å, I 55
- 3.378 Å, I 35
- 3.195 Å, I 56
- 2.578 Å, I 100
- 2.535 Å, I 56
- 2.315 Å, I 49